Diffraction record for CuAg2TeSe4. The PXRD pattern is theoretical, not measured: it uses a crystal structure in Alexandria, relaxed with GGA-PBE and Cu Kα, 1.54184 Å.
Intensities are scaled so that the largest is 100.

The 10 most intense peaks (10° ≤ 2θ ≤ 80°), by angle:
- 25.7 deg, intensity 100.0, (1 1 2)
- 41.9 deg, intensity 25.3, (2 2 2)
- 42.8 deg, intensity 46.6, (2 0 3)
- 49.8 deg, intensity 30.3, (3 1 3)
- 51.4 deg, intensity 13.4, (1 1 4)
- 60.8 deg, intensity 7.8, (4 0 2)
- 67.1 deg, intensity 5.9, (3 3 4)
- 68.4 deg, intensity 11.6, (1 3 5)
- 77.2 deg, intensity 14.6, (4 2 5)
- 79.1 deg, intensity 7.1, (2 2 6)

Structural model:
Cell: 6.0915 6.0928 7.2698 Å, 65.23 65.24 90.00°
Element x y z (fractional)
Cu 0.0000 0.0000 0.0000
Ag 0.2496 0.7491 0.4997
Ag 0.5000 0.5003 0.9994
Te 0.7496 0.2496 0.4997
Se 0.1236 0.1179 0.2257
Se 0.3432 0.8763 0.7736
Se 0.6507 0.6562 0.2254
Se 0.8817 0.3490 0.7739